Diffraction record for VSb3P6O24. The XRD peak list is theoretical, not measured: it uses the GGA+U geometry in Alexandria and copper Kα.

Largest 6 diffraction maxima, in order of falling intensity, 10 to 80 degrees two-theta:
| Position (°2θ) | d/Å | I_rel |
| --- | --- | --- |
| 19.9 | 4.468 | 100 |
| 31.9 | 2.808 | 65 |
| 21.1 | 4.214 | 64 |
| 14.4 | 6.131 | 63 |
| 29.1 | 3.066 | 60 |
| 24.2 | 3.678 | 60 |

Atomic structure:
```
VSb3P6O24
1.0
4.2140 2.4330 7.5340
-4.2140 2.4330 7.5340
0.0000 -4.8659 7.5340
V Sb P O
1 3 6 24
Direct
0.0000 0.0000 0.0000 V
0.2856 0.2856 0.2856 Sb
0.4932 0.4932 0.4932 Sb
0.7917 0.7917 0.7917 Sb
0.1011 0.6828 0.3941 P
0.1780 0.6035 0.8970 P
0.3941 0.1011 0.6828 P
0.6035 0.8970 0.1780 P
0.6828 0.3941 0.1011 P
0.8970 0.1780 0.6035 P
0.0218 0.8767 0.2575 O
0.0341 0.2589 0.3966 O
0.1258 0.5158 0.3610 O
0.1497 0.7548 0.9455 O
0.2575 0.0218 0.8767 O
0.2589 0.3966 0.0341 O
0.2993 0.6636 0.3655 O
0.3251 0.6217 0.6865 O
0.3610 0.1258 0.5158 O
0.3655 0.2993 0.6636 O
0.3966 0.0341 0.2589 O
0.5158 0.3610 0.1258 O
0.6089 0.9622 0.6523 O
0.6149 0.9220 0.9844 O
0.6217 0.6865 0.3251 O
0.6523 0.6089 0.9622 O
0.6636 0.3655 0.2993 O
0.6866 0.3251 0.6217 O
0.7548 0.9455 0.1497 O
0.8767 0.2575 0.0218 O
0.9220 0.9844 0.6149 O
0.9455 0.1497 0.7548 O
0.9622 0.6523 0.6089 O
0.9844 0.6149 0.9220 O
```